1.
Diffraction record for Sc2AlCo3. The XRD peak list is calculated, not measured: it uses the GGA-PBE geometry in the Materials Project and Cu Kα, 1.54184 Å.

Peak list (8 most intense, 2θ from 10° to 90°, sorted by position)
2θ (°)	I/Imax
23.41	28
37.56	43
41.68	100
42.72	90
43.99	77
44.73	36
74.45	29
80.16	24

Cell and atoms:
Cell lengths 4.807, 4.807, 4.807 Å; angles 64.04, 64.04, 64.04 degrees
Sites, in units of the cell vectors:
1 Sc 0.127 0.127 0.127
2 Sc 0.873 0.873 0.873
3 Al 0.500 0.500 0.500
4 Co 0.000 0.500 0.500
5 Co 0.500 0.000 0.500
6 Co 0.500 0.500 0.000

***

2.
Diffraction record for Sr5ZrTi4O15. The XRD peak list is calculated, not measured: it uses the GGA-PBE geometry in the Materials Project and Cu Kα, 1.54184 Å.

Peak list (8 most intense, 2θ from 10° to 90°, sorted by position)
2θ (°)	I/Imax
31.67	100
39.05	15
45.40	39
56.40	28
56.46	10
66.09	11
66.21	11
75.20	16

Cell and atoms:
Cell lengths 12.003, 12.003, 12.003 Å; angles 27.21, 27.21, 27.21 degrees
Sites, in units of the cell vectors:
1 Sr 0.000 0.000 0.000
2 Sr 0.202 0.202 0.202
3 Sr 0.398 0.398 0.398
4 Sr 0.602 0.602 0.602
5 Sr 0.798 0.798 0.798
6 Zr 0.500 0.500 0.500
7 Ti 0.098 0.098 0.098
8 Ti 0.300 0.300 0.300
9 Ti 0.700 0.700 0.700
10 Ti 0.902 0.902 0.902
11 O 0.000 0.500 0.500
12 O 0.102 0.102 0.600
13 O 0.102 0.600 0.102
14 O 0.192 0.708 0.708
15 O 0.292 0.292 0.808
16 O 0.292 0.808 0.292
17 O 0.400 0.898 0.898
18 O 0.500 0.000 0.500
19 O 0.500 0.500 0.000
20 O 0.600 0.102 0.102
21 O 0.708 0.192 0.708
22 O 0.708 0.708 0.192
23 O 0.808 0.292 0.292
24 O 0.898 0.400 0.898
25 O 0.898 0.898 0.400

***

3.
Diffraction record for HoErRh2. The XRD peak list is calculated, not measured: it uses the GGA-PBE geometry in the Materials Project and Cu Kα, 1.54184 Å.

Peak list (8 most intense, 2θ from 10° to 90°, sorted by position)
2θ (°)	I/Imax
26.12	6
37.28	100
46.08	2
53.74	17
60.70	2
67.22	35
79.46	11
85.37	1

Cell and atoms:
Cell lengths 6.823, 6.823, 6.823 Å; angles 90.00, 90.00, 90.00 degrees
Sites, in units of the cell vectors:
1 Ho 0.000 0.000 0.000
2 Ho 0.000 0.500 0.500
3 Ho 0.500 0.000 0.500
4 Ho 0.500 0.500 0.000
5 Er 0.000 0.000 0.500
6 Er 0.000 0.500 0.000
7 Er 0.500 0.000 0.000
8 Er 0.500 0.500 0.500
9 Rh 0.250 0.250 0.250
10 Rh 0.250 0.250 0.750
11 Rh 0.250 0.750 0.250
12 Rh 0.250 0.750 0.750
13 Rh 0.750 0.250 0.250
14 Rh 0.750 0.250 0.750
15 Rh 0.750 0.750 0.250
16 Rh 0.750 0.750 0.750

***

4.
Diffraction record for Lu2FeS4. The XRD peak list is calculated, not measured: it uses the GGA-PBE geometry in the Materials Project and Cu Kα, 1.54184 Å.

Peak list (8 most intense, 2θ from 10° to 90°, sorted by position)
2θ (°)	I/Imax
14.20	58
27.38	100
28.63	28
33.17	58
43.54	39
47.62	67
66.49	24
88.74	23

Cell and atoms:
Cell lengths 7.638, 7.638, 7.638 Å; angles 60.00, 60.00, 60.00 degrees
Sites, in units of the cell vectors:
1 Lu 0.000 0.000 0.000
2 Lu 0.000 0.000 0.500
3 Lu 0.000 0.500 0.000
4 Lu 0.500 0.000 0.000
5 Fe 0.375 0.375 0.375
6 Fe 0.625 0.625 0.625
7 S 0.244 0.752 0.752
8 S 0.248 0.248 0.248
9 S 0.248 0.248 0.756
10 S 0.248 0.756 0.248
11 S 0.752 0.244 0.752
12 S 0.752 0.752 0.244
13 S 0.752 0.752 0.752
14 S 0.756 0.248 0.248

***

5.
Diffraction record for CaB2Rh2. The XRD peak list is calculated, not measured: it uses the GGA-PBE geometry in the Materials Project and Cu Kα, 1.54184 Å.

Peak list (8 most intense, 2θ from 10° to 90°, sorted by position)
2θ (°)	I/Imax
19.60	96
30.90	99
33.69	37
35.88	100
38.72	42
41.57	53
50.04	40
52.25	24

Cell and atoms:
Cell lengths 7.066, 6.092, 5.518 Å; angles 74.79, 56.30, 48.91 degrees
Sites, in units of the cell vectors:
1 Ca 0.125 0.125 0.125
2 Ca 0.875 0.875 0.875
3 B 0.199 0.551 0.199
4 B 0.449 0.801 0.449
5 B 0.551 0.199 0.551
6 B 0.801 0.449 0.801
7 Rh 0.245 0.245 0.505
8 Rh 0.495 0.495 0.755
9 Rh 0.505 0.505 0.245
10 Rh 0.755 0.755 0.495

***

6.
Diffraction record for CeGeIr. The XRD peak list is calculated, not measured: it uses the GGA-PBE geometry in the Materials Project and Cu Kα, 1.54184 Å.

Peak list (8 most intense, 2θ from 10° to 90°, sorted by position)
2θ (°)	I/Imax
26.57	24
33.51	27
34.66	100
40.21	15
40.82	46
41.04	31
54.73	14
66.47	14

Cell and atoms:
Cell lengths 7.036, 4.399, 7.671 Å; angles 90.00, 90.00, 90.00 degrees
Sites, in units of the cell vectors:
1 Ce 0.014 0.250 0.200
2 Ce 0.486 0.750 0.700
3 Ce 0.514 0.250 0.300
4 Ce 0.986 0.750 0.800
5 Ge 0.179 0.250 0.582
6 Ge 0.321 0.750 0.082
7 Ge 0.679 0.250 0.918
8 Ge 0.821 0.750 0.418
9 Ir 0.218 0.750 0.410
10 Ir 0.282 0.250 0.910
11 Ir 0.718 0.750 0.090
12 Ir 0.782 0.250 0.590

***

7.
Diffraction record for Mg2Ti2O5. The XRD peak list is calculated, not measured: it uses the GGA-PBE geometry in the Materials Project and Cu Kα, 1.54184 Å.

Peak list (8 most intense, 2θ from 10° to 90°, sorted by position)
2θ (°)	I/Imax
22.94	48
32.11	61
33.22	59
34.25	100
46.88	45
51.48	36
58.62	36
60.03	30

Cell and atoms:
Cell lengths 5.575, 10.785, 3.550 Å; angles 90.00, 90.00, 90.00 degrees
Sites, in units of the cell vectors:
1 Mg 0.211 0.101 0.000
2 Mg 0.289 0.601 0.000
3 Mg 0.711 0.399 0.000
4 Mg 0.789 0.899 0.000
5 Ti 0.234 0.363 0.500
6 Ti 0.266 0.863 0.500
7 Ti 0.734 0.137 0.500
8 Ti 0.766 0.637 0.500
9 O 0.000 0.500 0.500
10 O 0.133 0.194 0.500
11 O 0.166 0.912 0.000
12 O 0.334 0.412 0.000
13 O 0.367 0.694 0.500
14 O 0.500 0.000 0.500
15 O 0.633 0.306 0.500
16 O 0.666 0.588 0.000
17 O 0.834 0.088 0.000
18 O 0.867 0.806 0.500